No. 1
Structure and calculated X-ray powder pattern of Rb2PBr7 (a cell relaxed with PBE; a wavelength of 1.5418 Å).

```
Rb2PBr7
1.0
-3.9440 3.9440 5.6167
3.9440 -3.9440 5.6167
3.9440 3.9440 -5.6167
Rb P Br
2 1 7
Cartesian
3.9440 0.0000 2.8084
0.0000 3.9440 2.8084
0.0000 0.0000 0.0000
0.0000 0.0000 2.4462
1.7277 1.7277 0.0000
2.2164 -2.2164 5.6167
0.0000 0.0000 5.6167
-2.2164 2.2164 5.6167
2.2164 2.2164 5.6167
0.0000 0.0000 8.7872
```

Top 6 peaks for 10° ≤ 2θ ≤ 90°, by angle:
2θ = 22.5°, rel. 21
2θ = 27.6°, rel. 100
2θ = 31.9°, rel. 34
2θ = 32.1°, rel. 68
2θ = 45.9°, rel. 42
2θ = 46.0°, rel. 21

No. 2
Structure and calculated X-ray powder pattern of GdPdPb (a cell relaxed with PBE; a wavelength of 1.5418 Å).

```
GdPdPb
1.0
4.7877 0.0000 0.0000
-2.3939 4.1463 0.0000
0.0000 0.0000 3.6276
Gd Pd Pb
1 1 1
Cartesian
0.0000 0.0000 0.0000
0.0000 2.7642 1.8138
2.3939 1.3821 1.8138
```

Top 6 peaks for 10° ≤ 2θ ≤ 90°, by angle:
2θ = 32.8°, rel. 100
2θ = 37.6°, rel. 73
2θ = 50.7°, rel. 30
2θ = 64.5°, rel. 30
2θ = 64.8°, rel. 29
2θ = 89.1°, rel. 13

No. 3
Structure and calculated X-ray powder pattern of CaCeRu (a cell relaxed with PBE; a wavelength of 1.5418 Å).

```
CaCeRu
1.0
4.6612 -1.8691 0.0000
4.6612 1.8691 0.0000
-0.0214 0.0000 10.3165
Ca Ce Ru
2 2 2
Cartesian
1.2626 0.0000 3.6938
8.0384 0.0000 6.6228
1.3398 0.0000 9.2006
7.9612 0.0000 1.1160
3.6527 0.0000 9.0807
5.6483 0.0000 1.2358
```

Top 6 peaks for 10° ≤ 2θ ≤ 90°, by angle:
2θ = 27.1°, rel. 27
2θ = 31.1°, rel. 100
2θ = 34.8°, rel. 32
2θ = 36.8°, rel. 29
2θ = 38.6°, rel. 33
2θ = 41.6°, rel. 31